For Ti2InNi, DFT lattice parameters and positions (PBE) gives the computed powder diffractogram in this record (Cu Kα (λ = 1.5418 Å)).
Lines closer than 0.1° are merged.

Main lines, low angle first (10 to 80 degrees two-theta):
d/Å	2θ (°)	Rel. int.
3.699	24.06	16
3.204	27.85	5
2.265	39.79	100
1.932	47.04	9
1.602	57.54	16
1.308	72.24	31

Cell and atoms:
Cell lengths 4.5305, 4.5305, 4.5305 Å; angles 60.00, 60.00, 60.00 degrees
Positions (direct):
1 Ti 0.0000 0.0000 0.0000
2 Ti 0.2500 0.2500 0.2500
3 In 0.5000 0.5000 0.5000
4 Ni 0.7500 0.7500 0.7500

---

For Ti2InNi, DFT lattice parameters and positions (PBE) gives the computed powder diffractogram in this record (Cu Kα (λ = 1.5418 Å)).
Lines closer than 0.1° are merged.

Main lines, low angle first (10 to 80 degrees two-theta):
d/Å	2θ (°)	Rel. int.
3.710	23.99	9
3.213	27.77	13
2.272	39.67	100
1.606	57.36	16
1.437	64.90	5
1.312	71.99	31

Cell and atoms:
Cell lengths 4.5438, 4.5438, 4.5438 Å; angles 60.00, 60.00, 60.00 degrees
Positions (direct):
1 Ti 0.2500 0.2500 0.2500
2 Ti 0.7500 0.7500 0.7500
3 In 0.0000 0.0000 0.0000
4 Ni 0.5000 0.5000 0.5000

---

Repeat the second record exactly.
For Ti2InNi, DFT lattice parameters and positions (PBE) gives the computed powder diffractogram in this record (Cu Kα (λ = 1.5418 Å)).
Lines closer than 0.1° are merged.

Main lines, low angle first (10 to 80 degrees two-theta):
d/Å	2θ (°)	Rel. int.
3.710	23.99	9
3.213	27.77	13
2.272	39.67	100
1.606	57.36	16
1.437	64.90	5
1.312	71.99	31

Cell and atoms:
Cell lengths 4.5438, 4.5438, 4.5438 Å; angles 60.00, 60.00, 60.00 degrees
Positions (direct):
1 Ti 0.2500 0.2500 0.2500
2 Ti 0.7500 0.7500 0.7500
3 In 0.0000 0.0000 0.0000
4 Ni 0.5000 0.5000 0.5000

---

Repeat the first record exactly.
For Ti2InNi, DFT lattice parameters and positions (PBE) gives the computed powder diffractogram in this record (Cu Kα (λ = 1.5418 Å)).
Lines closer than 0.1° are merged.

Main lines, low angle first (10 to 80 degrees two-theta):
d/Å	2θ (°)	Rel. int.
3.699	24.06	16
3.204	27.85	5
2.265	39.79	100
1.932	47.04	9
1.602	57.54	16
1.308	72.24	31

Cell and atoms:
Cell lengths 4.5305, 4.5305, 4.5305 Å; angles 60.00, 60.00, 60.00 degrees
Positions (direct):
1 Ti 0.0000 0.0000 0.0000
2 Ti 0.2500 0.2500 0.2500
3 In 0.5000 0.5000 0.5000
4 Ni 0.7500 0.7500 0.7500